Computed PXRD pattern
Compound: TmCo5Ge2
Radiation: copper Kα
Structure: a GGA-PBE-relaxed structure
Peak positions follow from Bragg's law for the DFT cell and can differ from measured ones.

Top 8 peaks for 2θ = 15–90°, low angle first:
26.9 deg, intensity 23
34.4 deg, intensity 68
38.2 deg, intensity 100
38.5 deg, intensity 78
48.0 deg, intensity 65
50.8 deg, intensity 37
52.5 deg, intensity 27
72.5 deg, intensity 36

Structural model:
```
data_TmCo5Ge2
_cell_length_a 3.595
_cell_length_b 6.621
_cell_length_c 9.253
_cell_angle_alpha 90.00
_cell_angle_beta 90.00
_cell_angle_gamma 90.00
_symmetry_space_group_name_H-M 'I m m m'
_symmetry_Int_Tables_number 71
_symmetry_space_group_name_Hall '-I 2 2'
loop_
_atom_site_label
_atom_site_type_symbol
_atom_site_fract_x
_atom_site_fract_y
_atom_site_fract_z
Tm1 Tm 0.000 0.000 0.000
Co1 Co 0.000 0.186 0.366
Co2 Co 0.000 0.500 0.000
Ge1 Ge 0.000 0.500 0.251
```


Computed PXRD pattern
Compound: Tb3U3Fe8
Radiation: copper Kα
Structure: a GGA-PBE-relaxed structure
Peak positions follow from Bragg's law for the DFT cell and can differ from measured ones.

Top 8 peaks for 2θ = 15–90°, low angle first:
29.7 deg, intensity 100
29.9 deg, intensity 70
35.2 deg, intensity 56
37.6 deg, intensity 31
40.0 deg, intensity 59
43.0 deg, intensity 19
46.0 deg, intensity 19
56.1 deg, intensity 21

Structural model:
```
data_Tb3U3Fe8
_cell_length_a 14.355
_cell_length_b 4.505
_cell_length_c 8.737
_cell_angle_alpha 90.00
_cell_angle_beta 122.53
_cell_angle_gamma 90.00
_symmetry_space_group_name_H-M 'C 1 2/m 1'
_symmetry_Int_Tables_number 12
_symmetry_space_group_name_Hall '-C 2y'
loop_
_atom_site_label
_atom_site_type_symbol
_atom_site_fract_x
_atom_site_fract_y
_atom_site_fract_z
Tb1 Tb 0.000 0.000 0.000
Tb2 Tb 0.196 0.500 0.623
U1 U 0.000 0.000 0.500
U2 U 0.174 0.500 0.041
Fe1 Fe 0.028 0.500 0.760
Fe2 Fe 0.089 0.000 0.363
Fe3 Fe 0.130 0.000 0.826
Fe4 Fe 0.150 0.500 0.256
```